Computed X-ray powder pattern
Compound: NpW4O12
Radiation: a wavelength of 1.5418 Å
Structure: a PBE+U-relaxed structure
Peak positions follow from Bragg's law for the DFT cell and can differ from measured ones.

Most intense lines, 15 to 90 degrees two-theta, in order of rising 2θ:
| Position (°2θ) | Rel. int. | index |
| --- | --- | --- |
| 15.79 | 22.4 | 1 1 0 |
| 16.22 | 38.9 | 1 0 1 |
| 22.40 | 50.2 | 2 0 0 |
| 23.61 | 20.0 | 0 0 2 |
| 27.78 | 19.1 | 2 1 1 |
| 31.89 | 50.8 | 2 2 0 |
| 32.77 | 100.0 | 2 0 2 |
| 45.73 | 30.4 | 4 0 0 |
| 57.39 | 45.2 | 4 2 2 |
| 59.05 | 23.1 | 2 2 4 |

Cell and atoms:
a = 7.936 Å, b = 7.936 Å, c = 7.538 Å
α = 90.00°, β = 90.00°, γ = 90.00°
Space group I4/mmm (No. 139)
One atom of each set of equivalent atoms:
Np  0.000  0.000  0.000 x2
W  0.250  0.250  0.250 x8
O  0.000  0.235  0.191 x16
O  0.208  0.208  0.500 x8